[1]
# SrNpGa2Cl8
Calculated X-ray powder pattern, CuKα. Input: a GGA-PBE-relaxed structure.
Neutral-atom scattering factors, no anomalous dispersion.

Structural model:
Cell lengths 6.812, 8.661, 6.922 Å; angles 90.00, 92.68, 90.00 degrees
Space group P2/m (No. 10)
Unique sites:
Sr 0.000 0.000 0.000
Np 0.000 0.500 0.000
Ga 0.500 0.235 0.500
Cl 0.206 0.272 0.847
Cl 0.236 0.500 0.300
Cl 0.283 0.000 0.326

Main lines, sorted by position (2θ = 5–70°):
| 2theta | I (rel.) |
| --- | --- |
| 17.9 | 100 |
| 18.7 | 77 |
| 24.4 | 62 |
| 27.3 | 45 |
| 35.5 | 54 |
| 36.2 | 47 |

[2]
# La3Nd3Tm
Calculated X-ray powder pattern, CuKα. Input: a GGA-PBE-relaxed structure.
Neutral-atom scattering factors, no anomalous dispersion.

Structural model:
Cell lengths 9.8627, 9.8627, 5.9221 Å; angles 90.00, 90.00, 120.00 degrees
Space group P6_3/m (No. 176)
Unique sites:
La 0.0474 0.8044 0.2500
Nd 0.0956 0.6151 0.7500
Tm 0.3333 0.6667 0.2500

Main lines, sorted by position (2θ = 5–70°):
| 2theta | I (rel.) |
| --- | --- |
| 27.6 | 24 |
| 30.2 | 25 |
| 31.6 | 100 |
| 48.9 | 20 |
| 54.5 | 21 |
| 58.5 | 23 |

[3]
# AlIn2SnS6
Calculated X-ray powder pattern, CuKα. Input: a GGA-PBE-relaxed structure.
Neutral-atom scattering factors, no anomalous dispersion.

Structural model:
Cell lengths 12.023, 13.014, 6.937 Å; angles 90.00, 111.68, 90.00 degrees
Space group C2/c (No. 15)
Unique sites:
Al 0.000 0.169 0.250
In 0.120 0.412 0.651
Sn 0.000 0.098 0.750
S 0.120 0.411 0.014
S 0.126 0.061 0.164
S 0.128 0.226 0.564

Main lines, sorted by position (2θ = 5–70°):
| 2theta | I (rel.) |
| --- | --- |
| 19.5 | 100 |
| 24.4 | 84 |
| 24.9 | 86 |
| 32.9 | 74 |
| 37.0 | 74 |
| 41.0 | 81 |

[4]
# LaAgAu2
Calculated X-ray powder pattern, CuKα. Input: a GGA-PBE-relaxed structure.
Neutral-atom scattering factors, no anomalous dispersion.

Structural model:
Cell lengths 7.163, 7.163, 7.163 Å; angles 90.00, 90.00, 90.00 degrees
Space group Fm-3m (No. 225)
Unique sites:
La 0.000 0.000 0.000
Ag 0.000 0.000 0.500
Au 0.250 0.250 0.250

Main lines, sorted by position (2θ = 5–70°):
| 2theta | I (rel.) |
| --- | --- |
| 24.9 | 6 |
| 35.4 | 100 |
| 43.8 | 2 |
| 51.0 | 18 |
| 57.5 | 3 |
| 63.6 | 36 |

[5]
# KTc5S8
Calculated X-ray powder pattern, CuKα. Input: a GGA-PBE-relaxed structure.
Neutral-atom scattering factors, no anomalous dispersion.

Structural model:
Cell lengths 21.325, 3.112, 8.953 Å; angles 90.00, 107.02, 90.00 degrees
Space group Cm (No. 8)
Unique sites:
K 0.000 0.000 0.000
Tc 0.096 0.000 0.537
Tc 0.184 0.000 0.840
Tc 0.250 0.500 0.092
Tc 0.344 0.500 0.386
Tc 0.468 0.000 0.459
S 0.019 0.000 0.666
S 0.059 0.500 0.332
S 0.137 0.500 0.968
S 0.186 0.500 0.619
S 0.253 0.000 0.316
S 0.296 0.000 0.964
S 0.382 0.000 0.591
S 0.418 0.500 0.250

Main lines, sorted by position (2θ = 5–70°):
| 2theta | I (rel.) |
| --- | --- |
| 10.3 | 15 |
| 11.4 | 100 |
| 17.4 | 24 |
| 39.7 | 14 |
| 40.3 | 19 |
| 40.5 | 11 |

[6]
# Cs2ReBr2Cl4
Calculated X-ray powder pattern, CuKα. Input: a GGA-PBE-relaxed structure.
Neutral-atom scattering factors, no anomalous dispersion.

Structural model:
Cell lengths 7.691, 7.691, 10.552 Å; angles 90.00, 90.00, 90.00 degrees
Space group I4/mmm (No. 139)
Unique sites:
Cs 0.000 0.500 0.250
Re 0.000 0.000 0.000
Br 0.000 0.000 0.241
Cl 0.219 0.219 0.000

Main lines, sorted by position (2θ = 5–70°):
| 2theta | I (rel.) |
| --- | --- |
| 14.2 | 100 |
| 23.1 | 73 |
| 23.5 | 52 |
| 28.7 | 55 |
| 32.9 | 72 |
| 48.1 | 48 |

[7]
# TiInO2
Calculated X-ray powder pattern, CuKα. Input: a GGA-PBE-relaxed structure.
Neutral-atom scattering factors, no anomalous dispersion.

Structural model:
Cell lengths 3.0288, 3.0288, 20.9252 Å; angles 90.00, 90.00, 120.00 degrees
Space group R-3m (No. 166, hexagonal axes)
Unique sites:
Ti 0.0000 0.0000 0.0000
In 0.0000 0.0000 0.5000
O 0.0000 0.0000 0.3829

Main lines, sorted by position (2θ = 5–70°):
| 2theta | I (rel.) |
| --- | --- |
| 25.5 | 66 |
| 34.5 | 34 |
| 35.3 | 100 |
| 38.4 | 49 |
| 49.2 | 49 |
| 56.2 | 27 |

[8]
# Pr3Tm4Mg
Calculated X-ray powder pattern, CuKα. Input: a GGA-PBE-relaxed structure.
Neutral-atom scattering factors, no anomalous dispersion.

Structural model:
Cell lengths 4.914, 5.037, 20.382 Å; angles 90.00, 90.00, 90.00 degrees
Space group Immm (No. 71)
Unique sites:
Pr 0.000 0.000 0.000
Pr 0.000 0.500 0.126
Tm 0.000 0.000 0.248
Tm 0.000 0.500 0.372
Mg 0.000 0.000 0.500

Main lines, sorted by position (2θ = 5–70°):
| 2theta | I (rel.) |
| --- | --- |
| 30.9 | 100 |
| 35.2 | 18 |
| 35.6 | 18 |
| 36.6 | 16 |
| 60.5 | 15 |
| 61.1 | 14 |

[9]
# Na8B9C7
Calculated X-ray powder pattern, CuKα. Input: a GGA-PBE-relaxed structure.
Neutral-atom scattering factors, no anomalous dispersion.

Structural model:
Cell lengths 2.8411, 2.8411, 33.8032 Å; angles 90.00, 90.00, 120.00 degrees
Space group P-6m2 (No. 187)
Unique sites:
Na 0.0000 0.0000 0.0621
Na 0.0000 0.0000 0.1864
Na 0.0000 0.0000 0.3108
Na 0.0000 0.0000 0.4359
B 0.3333 0.6667 0.1242
B 0.3333 0.6667 0.3729
B 0.3333 0.6667 0.5000
B 0.6667 0.3333 0.0000
B 0.6667 0.3333 0.2485
B 0.6667 0.3333 0.5000
C 0.3333 0.6667 0.0000
C 0.3333 0.6667 0.2485
C 0.6667 0.3333 0.1242
C 0.6667 0.3333 0.3728

Main lines, sorted by position (2θ = 5–70°):
| 2theta | I (rel.) |
| --- | --- |
| 36.5 | 17 |
| 42.5 | 100 |
| 42.8 | 25 |
| 57.5 | 10 |
| 65.7 | 17 |
| 69.9 | 1 |

[10]
# Ta4Mn5W
Calculated X-ray powder pattern, CuKα. Input: a GGA-PBE-relaxed structure.
Neutral-atom scattering factors, no anomalous dispersion.

Structural model:
Cell lengths 3.047, 3.047, 15.257 Å; angles 90.00, 90.00, 90.00 degrees
Space group P4/mmm (No. 123)
Unique sites:
Ta 0.000 0.000 0.100
Ta 0.000 0.000 0.301
Mn 0.500 0.500 0.000
Mn 0.500 0.500 0.202
Mn 0.500 0.500 0.403
W 0.000 0.000 0.500

Main lines, sorted by position (2θ = 5–70°):
| 2theta | I (rel.) |
| --- | --- |
| 29.3 | 35 |
| 41.9 | 100 |
| 51.9 | 10 |
| 60.8 | 16 |
| 68.9 | 14 |

What did the fourth record say?
# LaAgAu2
Calculated X-ray powder pattern, CuKα. Input: a GGA-PBE-relaxed structure.
Neutral-atom scattering factors, no anomalous dispersion.

Structural model:
Cell lengths 7.163, 7.163, 7.163 Å; angles 90.00, 90.00, 90.00 degrees
Space group Fm-3m (No. 225)
Unique sites:
La 0.000 0.000 0.000
Ag 0.000 0.000 0.500
Au 0.250 0.250 0.250

Main lines, sorted by position (2θ = 5–70°):
| 2theta | I (rel.) |
| --- | --- |
| 24.9 | 6 |
| 35.4 | 100 |
| 43.8 | 2 |
| 51.0 | 18 |
| 57.5 | 3 |
| 63.6 | 36 |